1.
For LaCu4P3, a cell relaxed with GGA-PBE gives the simulated PXRD pattern in this record (copper Kα).

Crystal structure
```
16
Lattice="5.789 0.000 0.000 0.000 5.789 0.000 0.000 0.000 7.366" Properties=species:S:1:pos:R:3 pbc="T T T"
La 1.447 1.447 0.144
La 4.342 4.342 7.223
Cu 0.101 0.101 4.959
Cu 0.101 2.793 4.959
Cu 2.793 0.101 4.959
Cu 2.793 2.793 4.959
Cu 2.996 2.996 2.408
Cu 2.996 5.688 2.408
Cu 5.688 2.996 2.408
Cu 5.688 5.688 2.408
P 1.447 1.447 3.503
P 1.447 4.342 1.133
P 1.447 4.342 6.234
P 4.342 1.447 1.133
P 4.342 1.447 6.234
P 4.342 4.342 3.863
```

Top 10 peaks for 15 to 90 degrees two-theta, by intensity:
two_theta	d/Å	Rel. int.
33.26	2.694	100
44.25	2.047	75
39.60	2.276	75
32.71	2.738	49
36.60	2.455	27
58.73	1.572	24
21.71	4.093	24
48.62	1.872	23
64.37	1.447	22
56.10	1.639	22

---

2.
For LaCuPbS3, a cell relaxed with GGA-PBE gives the simulated PXRD pattern in this record (copper Kα).

Crystal structure
```
24
Lattice="8.114 0.000 0.000 0.000 4.158 0.000 0.000 0.000 16.041" Properties=species:S:1:pos:R:3 pbc="T T T"
La 2.023 1.040 0.619
La 2.034 3.119 8.639
La 6.080 1.040 7.401
La 6.091 3.119 15.422
Cu 0.999 1.040 5.893
Cu 3.058 3.119 13.913
Cu 5.056 1.040 2.127
Cu 7.115 3.119 10.148
Pb 0.716 1.040 12.498
Pb 3.341 3.119 4.477
Pb 4.773 1.040 11.563
Pb 7.398 3.119 3.543
S 0.087 1.040 9.589
S 0.995 3.119 15.009
S 1.467 1.040 3.545
S 2.590 3.119 11.565
S 3.062 1.040 6.989
S 3.970 3.119 1.569
S 4.145 1.040 14.472
S 5.052 3.119 9.052
S 5.524 1.040 4.475
S 6.647 3.119 12.496
S 7.119 1.040 1.031
S 8.027 3.119 6.451
```

Top 10 peaks for 15 to 90 degrees two-theta, by intensity:
two_theta	d/Å	Rel. int.
27.17	3.283	100
24.63	3.615	84
32.80	2.731	80
30.79	2.904	60
31.31	2.857	50
43.53	2.079	47
37.09	2.424	44
22.14	4.016	42
32.93	2.720	42
29.95	2.983	40

---

3.
For La2CuRu, a cell relaxed with GGA-PBE gives the simulated PXRD pattern in this record (copper Kα).

Crystal structure
```
16
Lattice="7.171 0.000 0.000 0.000 7.171 0.000 0.000 0.000 7.171" Properties=species:S:1:pos:R:3 pbc="T T T"
La 1.793 1.793 1.793
La 1.793 1.793 5.378
La 1.793 5.378 1.793
La 1.793 5.378 5.378
La 5.378 1.793 1.793
La 5.378 1.793 5.378
La 5.378 5.378 1.793
La 5.378 5.378 5.378
Cu 0.000 0.000 0.000
Cu 0.000 3.585 3.585
Cu 3.585 0.000 3.585
Cu 3.585 3.585 0.000
Ru 0.000 0.000 3.585
Ru 0.000 3.585 0.000
Ru 3.585 0.000 0.000
Ru 3.585 3.585 3.585
```

Top 10 peaks for 15 to 90 degrees two-theta, by intensity:
two_theta	d/Å	Rel. int.
35.41	2.535	100
63.57	1.464	35
50.94	1.793	17
85.68	1.134	15
74.92	1.268	11
24.83	3.585	6
57.48	1.603	3
43.73	2.070	2
21.46	4.140	1
80.34	1.195	1

---

4.
For La3Cu2S7, a cell relaxed with GGA-PBE gives the simulated PXRD pattern in this record (copper Kα).

Crystal structure
```
24
Lattice="10.347 0.000 0.000 -5.173 8.960 0.000 0.000 0.000 5.758" Properties=species:S:1:pos:R:3 pbc="T T T"
La -2.554 6.869 0.000
La 0.502 3.314 0.000
La 3.121 1.222 2.879
La 2.052 7.738 0.000
La 4.671 5.646 2.879
La 7.728 2.092 2.879
Cu 0.000 0.000 0.091
Cu 0.000 0.000 2.970
Cu 0.000 5.974 2.261
Cu 5.173 2.987 5.140
S -3.430 7.539 2.918
S -1.684 4.615 1.601
S 0.360 2.220 2.918
S 2.102 0.799 0.039
S 0.000 5.974 4.483
S -0.334 8.111 1.601
S 2.018 5.195 1.601
S 3.155 3.766 4.480
S 5.508 0.850 4.480
S 5.173 2.987 1.605
S 3.071 8.162 2.918
S 4.814 6.740 0.039
S 6.857 4.345 4.480
S 8.604 1.421 0.039
```

Top 10 peaks for 15 to 90 degrees two-theta, by intensity:
two_theta	d/Å	Rel. int.
25.19	3.536	100
41.15	2.193	54
34.68	2.587	49
26.31	3.387	36
39.49	2.282	35
33.81	2.651	34
36.14	2.485	31
23.11	3.848	29
31.07	2.879	28
49.21	1.851	27

---

5.
For La2CuSbS5, a cell relaxed with GGA-PBE gives the simulated PXRD pattern in this record (copper Kα).

Crystal structure
```
18
Lattice="-6.656 3.782 3.840 6.656 -3.782 3.840 6.656 3.782 -3.840" Properties=species:S:1:pos:R:3 pbc="T T T"
La 0.000 0.000 0.000
La 6.656 0.000 0.000
La 3.328 2.766 -0.894
La 3.328 1.016 2.946
Cu 0.000 3.782 0.264
Cu 0.000 0.000 4.104
Sb 3.328 -1.292 5.492
Sb 3.328 5.074 1.652
S 9.984 0.061 0.007
S 8.005 2.563 -1.288
S 5.308 -1.219 2.552
S -1.349 1.219 2.552
S 1.401 2.419 1.327
S 5.255 2.419 1.327
S 8.005 1.219 2.552
S -1.401 5.145 1.327
S 1.401 1.363 5.166
S -3.328 3.721 3.847
```

Top 10 peaks for 15 to 90 degrees two-theta, by intensity:
two_theta	d/Å	Rel. int.
26.81	3.325	100
33.24	2.695	91
27.12	3.288	55
33.04	2.711	45
43.20	2.094	35
21.21	4.188	22
35.95	2.498	21
37.07	2.425	18
37.54	2.396	17
55.21	1.664	17

---

6.
For La4Cu3Sb8, a cell relaxed with GGA-PBE gives the simulated PXRD pattern in this record (copper Kα).

Crystal structure
```
15
Lattice="-3.141 3.141 10.100 3.141 -3.141 10.100 3.141 3.141 -10.100" Properties=species:S:1:pos:R:3 pbc="T T T"
La 1.574 1.574 -2.433
La 1.566 -1.566 12.534
La 1.566 1.566 7.667
La -1.566 1.566 12.534
Cu 3.141 0.000 0.000
Cu 0.000 3.141 0.000
Cu 0.000 0.000 10.100
Sb 4.728 1.553 -1.430
Sb 0.000 0.000 5.054
Sb 3.141 0.000 5.050
Sb 1.553 1.553 1.430
Sb -1.587 1.587 8.670
Sb 0.000 3.141 5.050
Sb 0.000 0.000 15.147
Sb 1.587 1.587 11.531
```

Top 10 peaks for 15 to 90 degrees two-theta, by intensity:
two_theta	d/Å	Rel. int.
33.60	2.667	100
40.63	2.221	49
33.40	2.683	33
29.79	2.999	29
69.46	1.353	23
49.57	1.839	18
26.73	3.335	18
53.57	1.711	17
26.47	3.367	17
58.80	1.570	16

---

7.
For La4Cu5Sb8, a cell relaxed with GGA-PBE gives the simulated PXRD pattern in this record (copper Kα).

Crystal structure
```
17
Lattice="4.467 0.000 0.000 0.000 4.467 0.000 0.000 0.000 20.798" Properties=species:S:1:pos:R:3 pbc="T T T"
La 0.000 0.000 0.000
La 0.000 0.000 10.307
La 2.233 2.233 5.189
La 2.233 2.233 15.580
Cu 0.000 0.000 14.329
Cu 0.000 2.233 7.780
Cu 0.000 2.233 18.185
Cu 2.233 0.000 7.780
Cu 2.233 0.000 18.185
Sb 0.000 0.000 6.268
Sb 0.000 0.000 16.819
Sb 0.000 2.233 2.584
Sb 0.000 2.233 12.893
Sb 2.233 0.000 2.584
Sb 2.233 0.000 12.893
Sb 2.233 2.233 9.299
Sb 2.233 2.233 19.705
```

Top 10 peaks for 15 to 90 degrees two-theta, by intensity:
two_theta	d/Å	Rel. int.
33.19	2.699	100
40.39	2.233	50
32.70	2.739	34
68.88	1.363	23
48.27	1.885	19
52.90	1.731	18
58.44	1.579	16
64.70	1.441	16
29.56	3.022	15
26.30	3.388	14